# 1
Simulated X-ray powder pattern
Compound: Cr2Hg2H2O9
Radiation: λ = 1.5418 Å (Cu Kα)
Structure: DFT lattice parameters and positions (PBE+U)
Kinematic intensities with the Lorentz-polarization factor, no thermal factor.

Atomic structure:
a = 12.057 Å, b = 5.330 Å, c = 13.515 Å
α = 90.00°, β = 108.88°, γ = 90.00°
Space group C2/c (No. 15)
Unique sites:
Cr  0.149  0.190  0.098 (multiplicity 8)
Hg  0.124  0.278  0.375 (multiplicity 8)
H  0.035  0.241  0.711 (multiplicity 8)
O  0.000  0.355  0.750 (multiplicity 4)
O  0.049  0.140  0.165 (multiplicity 8)
O  0.085  0.323  0.987 (multiplicity 8)
O  0.201  0.097  0.573 (multiplicity 8)
O  0.245  0.133  0.832 (multiplicity 8)

Main lines, by angle (10° ≤ 2θ ≤ 90°):
two_theta  I_rel  hkl
17.16  45  2 0 -2
18.73  100  1 1 -1
27.90  42  0 0 4
29.80  51  1 1 3
30.91  60  3 1 -3
31.47  35  3 1 1



# 2
Simulated X-ray powder pattern
Compound: LiTiFeO4
Radiation: λ = 1.5418 Å (Cu Kα)
Structure: DFT lattice parameters and positions (PBE+U)
Kinematic intensities with the Lorentz-polarization factor, no thermal factor.

Atomic structure:
a = 8.999 Å, b = 2.948 Å, c = 10.785 Å
α = 90.00°, β = 90.00°, γ = 90.00°
Space group Pnma (No. 62)
Unique sites:
Li  0.246  0.250  0.133 (multiplicity 4)
Ti  0.086  0.250  0.893 (multiplicity 4)
Fe  0.062  0.250  0.389 (multiplicity 4)
O  0.015  0.750  0.791 (multiplicity 4)
O  0.087  0.250  0.577 (multiplicity 4)
O  0.119  0.750  0.017 (multiplicity 4)
O  0.212  0.750  0.345 (multiplicity 4)

Main lines, by angle (10° ≤ 2θ ≤ 90°):
two_theta  I_rel  hkl
19.19  97  1 0 2
19.73  100  2 0 0
33.23  49  0 0 4
34.20  59  3 0 2
36.13  86  1 1 2
50.13  49  2 1 4



# 3
Simulated X-ray powder pattern
Compound: NaMgFeO2
Radiation: λ = 1.5418 Å (Cu Kα)
Structure: DFT lattice parameters and positions (PBE+U)
Kinematic intensities with the Lorentz-polarization factor, no thermal factor.

Atomic structure:
a = 6.141 Å, b = 5.397 Å, c = 5.744 Å
α = 90.00°, β = 96.54°, γ = 90.00°
Space group C2/m (No. 12)
Unique sites:
Na  0.000  0.000  0.000 (multiplicity 2)
Mg  0.000  0.500  0.000 (multiplicity 2)
Fe  0.000  0.500  0.500 (multiplicity 2)
O  0.194  0.500  0.775 (multiplicity 4)

Main lines, by angle (10° ≤ 2θ ≤ 90°):
two_theta  I_rel  hkl
21.99  100  1 1 0
26.03  96  1 1 -1
29.27  31  2 0 0
33.20  66  0 2 0
40.77  28  2 0 -2
53.55  23  2 2 -2



# 4
Simulated X-ray powder pattern
Compound: Mg2Ta2FeO8
Radiation: λ = 1.5418 Å (Cu Kα)
Structure: DFT lattice parameters and positions (PBE+U)
Kinematic intensities with the Lorentz-polarization factor, no thermal factor.

Atomic structure:
a = 5.212 Å, b = 6.025 Å, c = 10.077 Å
α = 72.65°, β = 89.63°, γ = 89.99°
Space group P-1 (No. 2)
Unique sites:
Mg  0.246  0.130  0.455 (multiplicity 2)
Mg  0.254  0.585  0.545 (multiplicity 2)
Ta  0.246  0.718  0.234 (multiplicity 2)
Ta  0.254  0.952  0.766 (multiplicity 2)
Fe  0.250  0.352  0.000 (multiplicity 2)
O  0.043  0.291  0.627 (multiplicity 2)
O  0.082  0.037  0.144 (multiplicity 2)
O  0.096  0.567  0.120 (multiplicity 2)
O  0.118  0.838  0.617 (multiplicity 2)
O  0.382  0.455  0.383 (multiplicity 2)
O  0.404  0.686  0.880 (multiplicity 2)
O  0.417  0.182  0.856 (multiplicity 2)
O  0.456  0.917  0.374 (multiplicity 2)

Main lines, by angle (10° ≤ 2θ ≤ 90°):
two_theta  I_rel  hkl
18.45  67  0 0 2
23.03  87  1 -1 0
26.60  49  -1 1 2
32.44  60  1 -1 2
32.60  57  1 1 -2
34.39  100  2 0 0



# 5
Simulated X-ray powder pattern
Compound: Ba2ScFeAsO3
Radiation: λ = 1.5418 Å (Cu Kα)
Structure: DFT lattice parameters and positions (PBE+U)
Kinematic intensities with the Lorentz-polarization factor, no thermal factor.

Atomic structure:
a = 5.989 Å, b = 17.149 Å, c = 5.968 Å
α = 90.00°, β = 90.00°, γ = 90.00°
Space group Pcc2 (No. 27)
Unique sites:
Ba  0.250  0.085  0.000 (multiplicity 4)
Ba  0.250  0.308  0.002 (multiplicity 4)
Sc  0.250  0.187  0.500 (multiplicity 4)
Fe  0.000  0.500  0.238 (multiplicity 2)
Fe  0.500  0.500  0.253 (multiplicity 2)
As  0.249  0.411  0.502 (multiplicity 4)
O  0.000  0.205  0.250 (multiplicity 4)
O  0.250  0.071  0.500 (multiplicity 4)
O  0.500  0.205  0.250 (multiplicity 4)

Main lines, by angle (10° ≤ 2θ ≤ 90°):
two_theta  I_rel  hkl
29.68  100  1 4 1
29.84  21  2 0 0
29.94  21  0 0 2
42.78  40  2 0 2
52.87  19  3 4 1
53.00  19  1 4 3



# 6
Simulated X-ray powder pattern
Compound: Li9Mn2Co5O16
Radiation: λ = 1.5418 Å (Cu Kα)
Structure: DFT lattice parameters and positions (PBE+U)
Kinematic intensities with the Lorentz-polarization factor, no thermal factor.

Atomic structure:
a = 15.277 Å, b = 2.892 Å, c = 13.131 Å
α = 90.00°, β = 93.28°, γ = 90.00°
Space group Cm (No. 8)
Unique sites:
Li  0.000  0.000  0.000 (multiplicity 2)
Li  0.000  0.500  0.487 (multiplicity 2)
Li  0.122  0.000  0.365 (multiplicity 2)
Li  0.122  0.500  0.875 (multiplicity 2)
Li  0.250  0.000  0.753 (multiplicity 2)
Li  0.255  0.500  0.247 (multiplicity 2)
Li  0.372  0.000  0.129 (multiplicity 2)
Li  0.375  0.500  0.621 (multiplicity 2)
Li  0.436  0.500  0.306 (multiplicity 2)
Mn  0.186  0.500  0.556 (multiplicity 2)
Mn  0.316  0.000  0.424 (multiplicity 2)
Co  0.056  0.500  0.196 (multiplicity 2)
Co  0.061  0.000  0.688 (multiplicity 2)
Co  0.184  0.000  0.060 (multiplicity 2)
Co  0.311  0.500  0.938 (multiplicity 2)
Co  0.436  0.000  0.813 (multiplicity 2)
O  0.022  0.000  0.840 (multiplicity 2)
O  0.035  0.500  0.331 (multiplicity 2)
O  0.100  0.500  0.032 (multiplicity 2)
O  0.101  0.000  0.528 (multiplicity 2)
O  0.144  0.000  0.208 (multiplicity 2)
O  0.145  0.500  0.713 (multiplicity 2)
O  0.223  0.000  0.909 (multiplicity 2)
O  0.230  0.500  0.402 (multiplicity 2)
O  0.275  0.000  0.578 (multiplicity 2)
O  0.275  0.500  0.088 (multiplicity 2)
O  0.341  0.000  0.289 (multiplicity 2)
O  0.347  0.500  0.782 (multiplicity 2)
O  0.397  0.500  0.463 (multiplicity 2)
O  0.399  0.000  0.962 (multiplicity 2)
O  0.477  0.000  0.661 (multiplicity 2)
O  0.478  0.500  0.155 (multiplicity 2)

Main lines, by angle (10° ≤ 2θ ≤ 90°):
two_theta  I_rel  hkl
18.35  100  2 0 2
35.07  16  4 0 -4
36.19  25  3 1 -1
42.37  30  2 0 -6
43.96  54  5 1 1
62.70  30  3 1 7



# 7
Simulated X-ray powder pattern
Compound: NaFe2Si4O12
Radiation: λ = 1.5418 Å (Cu Kα)
Structure: DFT lattice parameters and positions (PBE+U)
Kinematic intensities with the Lorentz-polarization factor, no thermal factor.

Atomic structure:
a = 5.357 Å, b = 8.806 Å, c = 9.515 Å
α = 90.00°, β = 103.75°, γ = 90.00°
Space group P2 (No. 3)
Unique sites:
Na  0.000  0.000  0.000 (multiplicity 1)
Na  0.500  0.499  0.500 (multiplicity 1)
Fe  0.000  0.401  0.000 (multiplicity 1)
Fe  0.000  0.697  0.500 (multiplicity 1)
Fe  0.500  0.201  0.000 (multiplicity 1)
Fe  0.500  0.895  0.500 (multiplicity 1)
Si  0.190  0.381  0.706 (multiplicity 2)
Si  0.196  0.709  0.208 (multiplicity 2)
Si  0.308  0.205  0.298 (multiplicity 2)
Si  0.314  0.886  0.792 (multiplicity 2)
O  0.082  0.797  0.846 (multiplicity 2)
O  0.090  0.299  0.357 (multiplicity 2)
O  0.179  0.538  0.149 (multiplicity 2)
O  0.184  0.552  0.639 (multiplicity 2)
O  0.228  0.213  0.118 (multiplicity 2)
O  0.242  0.872  0.612 (multiplicity 2)
O  0.267  0.368  0.884 (multiplicity 2)
O  0.282  0.721  0.388 (multiplicity 2)
O  0.312  0.053  0.861 (multiplicity 2)
O  0.319  0.030  0.357 (multiplicity 2)
O  0.407  0.805  0.143 (multiplicity 2)
O  0.417  0.293  0.646 (multiplicity 2)

Main lines, by angle (10° ≤ 2θ ≤ 90°):
two_theta  I_rel  hkl
13.89  59  0 1 1
19.82  46  1 1 0
29.64  100  1 2 1
30.75  59  0 1 3
35.34  37  2 0 -2
36.41  33  1 2 -3